Entry 1:
For AcNdAsS, a structure optimized by DFT (PBE) gives the computed powder diffraction line list in this record (Cu Kα (weighted mean of Kα1 and Kα2)).

a = 4.3147 Å, b = 4.3147 Å, c = 21.0203 Å
α = 90.00°, β = 90.00°, γ = 120.00°
Space group R3m (No. 160, hexagonal axes)
Unique sites:
Ac: 0.0000 0.0000 0.0000 (multiplicity 3)
Nd: 0.0000 0.0000 0.4989 (multiplicity 3)
As: 0.0000 0.0000 0.2445 (multiplicity 3)
S: 0.0000 0.0000 0.7539 (multiplicity 3)

Most intense lines, 2θ = 10–80°, sorted by position:
| 2θ (°) | I_rel |
| --- | --- |
| 25.30 | 40 |
| 25.42 | 13 |
| 29.33 | 100 |
| 41.87 | 38 |
| 42.04 | 37 |
| 49.60 | 21 |
| 51.94 | 20 |
| 68.84 | 18 |
| 69.07 | 17 |
| 76.59 | 13 |

---

Entry 2:
For ZrZn5Ga2, a structure optimized by DFT (PBE) gives the computed powder diffraction line list in this record (Cu Kα (weighted mean of Kα1 and Kα2)).

a = 4.228 Å, b = 5.596 Å, c = 5.757 Å
α = 74.79°, β = 89.96°, γ = 89.94°
Space group P1 (No. 1)
Unique sites:
Zr: 0.000 0.000 0.000 (multiplicity 1)
Zn: 0.000 0.068 0.498 (multiplicity 1)
Zn: 0.000 0.574 0.572 (multiplicity 1)
Zn: 0.500 0.286 0.682 (multiplicity 1)
Zn: 0.500 0.681 0.282 (multiplicity 1)
Zn: 0.501 0.783 0.754 (multiplicity 1)
Ga: 0.000 0.493 0.061 (multiplicity 1)
Ga: 0.499 0.189 0.210 (multiplicity 1)

Most intense lines, 2θ = 10–80°, sorted by position:
| 2θ (°) | I_rel |
| --- | --- |
| 38.78 | 100 |
| 39.33 | 23 |
| 39.61 | 70 |
| 40.00 | 23 |
| 40.81 | 10 |
| 42.78 | 42 |
| 45.61 | 14 |
| 53.15 | 12 |
| 60.00 | 13 |
| 75.67 | 13 |

---

Entry 3:
For Pm12Tl5Sn2, a structure optimized by DFT (PBE) gives the computed powder diffraction line list in this record (Cu Kα (weighted mean of Kα1 and Kα2)).

a = 18.444 Å, b = 7.104 Å, c = 9.439 Å
α = 90.00°, β = 91.43°, γ = 90.00°
Space group C2/m (No. 12)
Unique sites:
Pm: 0.015 0.000 0.307 (multiplicity 4)
Pm: 0.063 0.500 0.206 (multiplicity 4)
Pm: 0.150 0.250 0.526 (multiplicity 8)
Pm: 0.165 0.250 0.933 (multiplicity 8)
Tl: 0.000 0.500 0.500 (multiplicity 2)
Tl: 0.206 0.000 0.247 (multiplicity 4)
Tl: 0.233 0.500 0.264 (multiplicity 4)
Sn: 0.000 0.202 0.000 (multiplicity 4)

Most intense lines, 2θ = 10–80°, sorted by position:
| 2θ (°) | I_rel |
| --- | --- |
| 27.39 | 24 |
| 28.63 | 34 |
| 29.06 | 28 |
| 31.53 | 100 |
| 31.81 | 48 |
| 32.92 | 26 |
| 33.10 | 23 |
| 34.11 | 27 |
| 40.11 | 30 |
| 58.47 | 20 |

---

Entry 4:
For Li3B4C4, a structure optimized by DFT (PBE) gives the computed powder diffraction line list in this record (Cu Kα (weighted mean of Kα1 and Kα2)).

a = 2.7368 Å, b = 2.7368 Å, c = 26.9443 Å
α = 90.00°, β = 90.00°, γ = 120.00°
Space group P-6m2 (No. 187)
Unique sites:
Li: 0.0000 0.0000 0.0652 (multiplicity 2)
Li: 0.0000 0.0000 0.1968 (multiplicity 2)
Li: 0.0000 0.0000 0.4336 (multiplicity 2)
B: 0.3333 0.6667 0.0000 (multiplicity 1)
B: 0.3333 0.6667 0.2632 (multiplicity 2)
B: 0.3333 0.6667 0.5000 (multiplicity 1)
B: 0.6667 0.3333 0.1309 (multiplicity 2)
B: 0.6667 0.3333 0.3672 (multiplicity 2)
C: 0.3333 0.6667 0.1306 (multiplicity 2)
C: 0.3333 0.6667 0.3697 (multiplicity 2)
C: 0.6667 0.3333 0.0000 (multiplicity 1)
C: 0.6667 0.3333 0.2607 (multiplicity 2)
C: 0.6667 0.3333 0.5000 (multiplicity 1)

Most intense lines, 2θ = 10–80°, sorted by position:
| 2θ (°) | I_rel |
| --- | --- |
| 26.46 | 100 |
| 37.96 | 12 |
| 40.34 | 3 |
| 41.63 | 3 |
| 43.16 | 4 |
| 46.87 | 63 |
| 47.23 | 6 |
| 54.49 | 11 |
| 68.58 | 26 |
| 74.90 | 11 |

---

Entry 5:
For Li3Sn3Pd2, a structure optimized by DFT (PBE) gives the computed powder diffraction line list in this record (Cu Kα (weighted mean of Kα1 and Kα2)).

a = 16.112 Å, b = 4.377 Å, c = 4.364 Å
α = 90.00°, β = 105.42°, γ = 90.00°
Space group C2/m (No. 12)
Unique sites:
Li: 0.000 0.000 0.000 (multiplicity 2)
Li: 0.138 0.000 0.639 (multiplicity 4)
Sn: 0.000 0.500 0.500 (multiplicity 2)
Sn: 0.143 0.500 0.143 (multiplicity 4)
Pd: 0.243 0.000 0.244 (multiplicity 4)

Most intense lines, 2θ = 10–80°, sorted by position:
| 2θ (°) | I_rel |
| --- | --- |
| 11.39 | 58 |
| 21.09 | 82 |
| 26.65 | 49 |
| 26.79 | 45 |
| 37.11 | 100 |
| 37.25 | 99 |
| 41.25 | 41 |
| 41.38 | 41 |
| 45.84 | 40 |
| 72.54 | 43 |

---

Entry 6:
For Sc8TeS6, a structure optimized by DFT (PBE) gives the computed powder diffraction line list in this record (Cu Kα (weighted mean of Kα1 and Kα2)).

a = 9.5909 Å, b = 9.5909 Å, c = 3.7502 Å
α = 90.00°, β = 90.00°, γ = 120.00°
Space group P-3 (No. 147)
Unique sites:
Sc: 0.0360 0.3436 0.2585 (multiplicity 6)
Sc: 0.3333 0.6667 0.7448 (multiplicity 2)
Te: 0.0000 0.0000 0.5000 (multiplicity 1)
S: 0.1363 0.6599 0.2445 (multiplicity 6)

Most intense lines, 2θ = 10–80°, sorted by position:
| 2θ (°) | I_rel |
| --- | --- |
| 26.07 | 39 |
| 28.43 | 30 |
| 30.25 | 51 |
| 32.16 | 53 |
| 32.34 | 100 |
| 37.36 | 80 |
| 39.10 | 30 |
| 44.87 | 63 |
| 53.98 | 31 |
| 56.38 | 18 |